# 1
Sm2Co5Ni5: simulated X-ray powder pattern (Cu Kα), based on a structure optimized by DFT (PBE).
No peak broadening, texture or thermal motion is included.

Principal peaks in the range 10° ≤ 2θ ≤ 90°, by angle:
| two_theta | intensity |
| --- | --- |
| 30.72 | 78 |
| 36.43 | 32 |
| 42.22 | 38 |
| 43.08 | 51 |
| 43.18 | 100 |
| 45.69 | 41 |
| 59.76 | 22 |
| 63.95 | 21 |
| 70.07 | 22 |
| 82.71 | 21 |

Structure:
```
12
Lattice="3.9716 0.0000 0.0000 0.0000 4.9482 0.0000 0.0000 0.0000 8.5354" Properties=species:S:1:pos:R:3 pbc="T T T"
Sm 0.0000 0.0000 0.0000
Sm 0.0000 2.4741 4.2677
Co 0.0000 0.0000 2.8438
Co 0.0000 0.0000 5.6916
Co 0.0000 2.4741 1.3906
Co 0.0000 2.4741 7.1448
Co 1.9858 2.4741 0.0000
Ni 1.9858 0.0000 4.2677
Ni 1.9858 1.2357 2.1321
Ni 1.9858 1.2357 6.4032
Ni 1.9858 3.7124 2.1321
Ni 1.9858 3.7124 6.4032
```

***

# 2
Mg16Al12I: simulated X-ray powder pattern (Cu Kα), based on a structure optimized by DFT (PBE).
No peak broadening, texture or thermal motion is included.

Principal peaks in the range 10° ≤ 2θ ≤ 90°, by angle:
| two_theta | intensity |
| --- | --- |
| 11.47 | 45 |
| 12.09 | 40 |
| 34.78 | 57 |
| 34.96 | 100 |
| 35.66 | 32 |
| 35.97 | 90 |
| 36.42 | 68 |
| 36.74 | 53 |
| 37.77 | 37 |
| 41.80 | 33 |

Structure:
```
29
Lattice="9.0183 0.0000 0.0000 -2.7745 8.6469 0.0000 -2.7896 -3.9485 7.7495" Properties=species:S:1:pos:R:3 pbc="T T T"
Mg 0.0000 0.0000 0.0000
Mg 5.2727 -0.9763 7.7466
Mg -2.7635 0.5134 5.0422
Mg -3.9514 3.7760 5.3414
Mg -1.6480 5.7979 4.6273
Mg 1.7934 -0.7765 2.4088
Mg -0.9778 2.9387 5.5577
Mg 0.1714 4.4595 2.4965
Mg 0.6766 0.2151 5.1825
Mg 0.7826 -3.7192 7.7188
Mg 1.9555 7.0071 2.2577
Mg 4.8712 3.0712 0.0365
Mg 4.0506 1.3402 2.9785
Mg 4.1133 6.4793 0.0527
Mg 3.7315 4.5106 2.4673
Mg 7.7853 -1.3694 3.1190
Al -2.4699 5.4097 1.4846
Al -0.4414 1.4132 2.6819
Al -1.0838 -1.8350 6.2648
Al -0.2568 6.1570 0.0391
Al 1.7840 2.1579 1.2118
Al -0.8605 0.6363 7.7143
Al 3.4454 -0.9061 4.9205
Al 3.4435 -3.2545 6.4433
Al 6.3602 0.6468 1.3795
Al 5.7039 -2.4846 4.9646
Al 3.7571 1.2750 6.5179
Al 6.4596 3.0789 2.9045
I 1.9650 2.9336 4.5278
```

***

# 3
Sm2Ga9Ru5: simulated X-ray powder pattern (Cu Kα), based on a structure optimized by DFT (PBE).
No peak broadening, texture or thermal motion is included.

Principal peaks in the range 10° ≤ 2θ ≤ 90°, by angle:
| two_theta | intensity |
| --- | --- |
| 28.71 | 15 |
| 33.21 | 23 |
| 37.91 | 25 |
| 39.18 | 100 |
| 39.57 | 19 |
| 41.05 | 71 |
| 48.23 | 19 |
| 58.34 | 18 |
| 59.45 | 19 |
| 73.53 | 20 |

Structure:
```
16
Lattice="-3.1095 3.1095 6.8318 3.1095 -3.1095 6.8318 3.1095 3.1095 -6.8318" Properties=species:S:1:pos:R:3 pbc="T T T"
Sm 3.1095 0.0000 0.0000
Sm 0.0000 3.1095 0.0000
Ga 0.0000 0.0000 0.0000
Ga 1.8090 1.8090 -2.0514
Ga 1.3004 -1.3004 4.7804
Ga 1.8090 1.8090 2.0514
Ga 1.3004 -1.3004 8.8832
Ga -1.3004 1.3004 4.7804
Ga 1.3004 1.3004 4.7804
Ga -1.3004 1.3004 8.8832
Ga 1.3004 1.3004 8.8832
Ru 0.0000 0.0000 2.4438
Ru 3.1095 0.0000 3.4159
Ru 0.0000 0.0000 6.8318
Ru 0.0000 3.1095 3.4159
Ru 0.0000 0.0000 11.2198
```

***

# 4
Ti2ZnO4: simulated X-ray powder pattern (Cu Kα), based on a structure optimized by DFT (PBE).
No peak broadening, texture or thermal motion is included.

Principal peaks in the range 10° ≤ 2θ ≤ 90°, by angle:
| two_theta | intensity |
| --- | --- |
| 29.44 | 35 |
| 29.69 | 43 |
| 34.63 | 47 |
| 34.85 | 100 |
| 34.96 | 40 |
| 42.31 | 25 |
| 55.93 | 28 |
| 56.08 | 24 |
| 61.09 | 41 |
| 61.66 | 41 |

Structure:
```
42
Lattice="6.0170 0.0000 0.0000 -3.0085 5.2109 0.0000 0.0000 0.0000 14.9247" Properties=species:S:1:pos:R:3 pbc="T T T"
Ti 0.0000 0.0000 0.0000
Ti 0.0000 0.0000 5.8214
Ti -1.3750 2.6801 13.1168
Ti 0.0000 1.7300 8.2041
Ti -1.5103 4.3459 8.2041
Ti 1.4452 0.8344 3.2461
Ti 0.0000 3.4739 10.7692
Ti 1.3750 2.6801 13.1168
Ti 0.0000 5.0617 13.1168
Ti 1.5103 4.3459 8.2041
Ti 4.5718 0.8344 3.2461
Ti 3.0085 3.5421 3.2461
Zn 0.0000 0.0000 11.2163
Zn 0.0000 3.4739 1.4821
Zn 0.0000 3.4739 5.1167
Zn 3.0085 1.7370 0.7721
Zn 3.0085 1.7370 6.2640
Zn 3.0085 1.7370 10.1650
O 0.0000 0.0000 1.9199
O 0.0000 0.0000 9.2806
O -1.3870 2.6732 9.4007
O 0.0000 1.5940 4.4978
O -1.6280 4.4139 4.4978
O 0.0000 1.7991 11.9156
O -1.4504 4.3113 11.9156
O 1.4196 0.8196 7.0222
O 0.0000 3.4739 7.1157
O 0.0000 3.4739 14.4172
O 1.5522 0.8962 14.3452
O 1.3870 2.6732 9.4007
O 0.0000 5.0755 9.4007
O 3.0085 0.1183 2.1577
O 1.6067 2.5463 2.1577
O 1.4504 4.3113 11.9156
O 3.0085 1.7370 4.3087
O 3.0085 1.7370 12.1436
O 1.6280 4.4139 4.4978
O 4.4648 0.8962 14.3452
O 3.0085 3.4185 14.3452
O 4.5974 0.8196 7.0222
O 3.0085 3.5717 7.0222
O 4.4103 2.5463 2.1577
```

***

# 5
TbFe4P12: simulated X-ray powder pattern (Cu Kα), based on a structure optimized by DFT (PBE).
No peak broadening, texture or thermal motion is included.

Principal peaks in the range 10° ≤ 2θ ≤ 90°, by angle:
| two_theta | intensity |
| --- | --- |
| 16.11 | 51 |
| 28.09 | 32 |
| 32.55 | 88 |
| 36.52 | 100 |
| 43.52 | 76 |
| 46.70 | 14 |
| 58.08 | 61 |
| 60.69 | 46 |
| 77.60 | 21 |
| 84.44 | 15 |

Structure:
```
17
Lattice="-3.8904 3.8904 3.8904 3.8904 -3.8904 3.8904 3.8904 3.8904 -3.8904" Properties=species:S:1:pos:R:3 pbc="T T T"
Tb 0.0000 0.0000 0.0000
Fe 1.9452 1.9452 -1.9452
Fe 1.9452 -1.9452 1.9452
Fe -1.9452 1.9452 1.9452
Fe 1.9452 1.9452 1.9452
P 2.7402 0.0000 1.1737
P 5.0407 0.0000 1.1737
P 3.8904 2.7168 -1.1503
P 1.1737 2.7402 0.0000
P 2.7168 -1.1503 3.8904
P 3.8904 2.7168 1.1503
P 0.0000 1.1737 2.7402
P 1.1737 5.0407 0.0000
P 2.7168 1.1503 3.8904
P 0.0000 1.1737 5.0407
P -1.1503 3.8904 2.7168
P 1.1503 3.8904 2.7168
```

***

# 6
Mg14MnW: simulated X-ray powder pattern (Cu Kα), based on a structure optimized by DFT (PBE).
No peak broadening, texture or thermal motion is included.

Principal peaks in the range 10° ≤ 2θ ≤ 90°, by angle:
| two_theta | intensity |
| --- | --- |
| 16.58 | 56 |
| 18.87 | 32 |
| 24.53 | 35 |
| 33.51 | 30 |
| 34.25 | 17 |
| 36.37 | 25 |
| 38.27 | 100 |
| 50.28 | 19 |
| 66.70 | 18 |
| 72.15 | 18 |

Structure:
```
16
Lattice="6.1754 0.0000 0.0000 -3.0877 5.3481 0.0000 0.0000 0.0000 9.8812" Properties=species:S:1:pos:R:3 pbc="T T T"
Mg 0.0000 0.0000 2.4580
Mg 0.0000 0.0000 7.4233
Mg -1.4524 2.7269 2.4718
Mg -1.4524 2.7269 7.4095
Mg 1.5520 0.8960 4.9406
Mg 1.5565 0.8986 0.0000
Mg 1.4523 2.7269 2.4718
Mg 1.4523 2.7269 7.4095
Mg 0.0000 5.2424 2.4718
Mg 0.0000 5.2424 7.4095
Mg 4.6189 0.8986 0.0000
Mg 4.6235 0.8960 4.9406
Mg 3.0877 3.5508 0.0000
Mg 3.0877 3.5560 4.9406
Mn 0.0000 3.5654 4.9406
W 0.0000 3.5654 0.0000
```

***

# 7
NdThUS5: simulated X-ray powder pattern (Cu Kα), based on a structure optimized by DFT (PBE).
No peak broadening, texture or thermal motion is included.

Principal peaks in the range 10° ≤ 2θ ≤ 90°, by angle:
| two_theta | intensity |
| --- | --- |
| 23.79 | 47 |
| 25.16 | 100 |
| 26.25 | 74 |
| 26.67 | 61 |
| 36.04 | 62 |
| 37.31 | 26 |
| 45.15 | 37 |
| 45.53 | 43 |
| 51.66 | 29 |
| 52.39 | 38 |

Structure:
```
32
Lattice="7.4792 0.0000 0.0000 0.0000 8.0324 0.0000 0.0000 0.0000 12.0529" Properties=species:S:1:pos:R:3 pbc="T T T"
Nd 0.1664 1.9923 5.1957
Nd 3.5732 6.0401 11.2221
Nd 3.9060 2.0239 6.8572
Nd 7.3127 6.0085 0.8308
Th 0.1763 6.0153 5.1284
Th 3.5633 2.0171 11.1549
Th 3.9159 6.0333 6.9245
Th 7.3029 1.9991 0.8980
U 0.5207 8.0169 8.9758
U 3.2189 0.0155 2.9493
U 4.2603 4.0317 3.0771
U 6.9585 4.0007 9.1036
S 0.3058 8.0271 3.0088
S 1.2236 2.3146 7.8660
S 1.2254 5.6949 7.8131
S 1.2788 3.9493 11.2880
S 1.4770 0.0501 11.6299
S 2.2626 7.9824 5.6034
S 2.4608 4.0831 5.2616
S 2.5142 2.3375 1.7866
S 2.5160 5.7179 1.8396
S 3.4338 0.0053 9.0353
S 4.0454 4.0215 9.0441
S 4.9632 1.7017 4.1869
S 4.9650 6.3538 4.2398
S 5.0184 0.0669 0.7649
S 5.2166 3.9662 0.4230
S 6.0022 4.0663 6.4495
S 6.2004 7.9655 6.7913
S 6.2538 1.6787 10.2663
S 6.2556 6.3308 10.2133
S 7.1734 4.0109 3.0176
```